1.
Ag5SnTe4: calculated powder diffraction line list (Cu Kα), based on a PBE-relaxed structure.
Kinematic intensities with the Lorentz-polarization factor, no thermal factor.

Cell and atoms:
Cell: 9.2910 9.4000 6.4904 Å, 90.00 90.00 90.00°
Space group Pmmn (No. 59, origin choice 2)
Asymmetric unit:
1 Ag 0.0082 0.0551 0.2294 x8
2 Ag 0.2500 0.7500 0.6882 x2
3 Sn 0.2500 0.2500 0.7940 x2
4 Te 0.0653 0.7500 0.0766 x4
5 Te 0.2500 0.0192 0.4912 x4

Top 8 peaks for 2θ from 10° to 80°, by angle:
23.37°, intensity 43, (0 2 1); 23.55°, intensity 56, (2 0 1); 31.71°, intensity 32, (0 3 1); 37.28°, intensity 30, (2 3 1); 38.30°, intensity 22, (0 4 0); 38.77°, intensity 28, (4 0 0); 38.90°, intensity 100, (2 2 2); 43.41°, intensity 21, (3 3 1)

2.
AgSn4Te5: calculated powder diffraction line list (Cu Kα), based on a PBE-relaxed structure.
Kinematic intensities with the Lorentz-polarization factor, no thermal factor.

Cell and atoms:
Cell: 4.4362 4.4362 31.5295 Å, 90.00 90.00 90.00°
Space group I4/mmm (No. 139)
Asymmetric unit:
1 Ag 0.0000 0.0000 0.0000 x2
2 Sn 0.0000 0.0000 0.1967 x4
3 Sn 0.0000 0.0000 0.4030 x4
4 Te 0.0000 0.0000 0.0972 x4
5 Te 0.0000 0.0000 0.3001 x4
6 Te 0.0000 0.0000 0.5000 x2

Top 8 peaks for 2θ from 10° to 80°, by angle:
28.31°, intensity 50, (0 0 10); 28.45°, intensity 100, (1 1 0); 40.57°, intensity 76, (1 1 10); 40.68°, intensity 38, (2 0 0); 50.29°, intensity 41, (2 0 10); 66.36°, intensity 17, (1 1 20); 66.63°, intensity 35, (3 1 0); 73.95°, intensity 26, (3 1 10)

3.
ThAgSn3: calculated powder diffraction line list (Cu Kα), based on a PBE-relaxed structure.
Kinematic intensities with the Lorentz-polarization factor, no thermal factor.

Cell and atoms:
Cell: 13.3393 6.2879 6.2483 Å, 90.00 90.00 90.00°
Space group Pbcm (No. 57)
Asymmetric unit:
1 Th 0.1904 0.0052 0.2500 x4
2 Ag 0.3930 0.2500 0.0000 x4
3 Sn 0.0004 0.2500 0.0000 x4
4 Sn 0.2539 0.5114 0.2500 x4
5 Sn 0.4292 0.6508 0.7500 x4

Top 8 peaks for 2θ from 10° to 80°, by angle:
31.46°, intensity 79, (2 2 0); 31.63°, intensity 48, (2 0 2); 33.62°, intensity 100, (5 0 0); 34.95°, intensity 36, (3 2 0); 35.11°, intensity 44, (3 0 2); 40.72°, intensity 55, (0 2 2); 53.77°, intensity 31, (5 2 2); 68.23°, intensity 29, (2 4 2)

4.
TlAgSn4: calculated powder diffraction line list (Cu Kα), based on a PBE-relaxed structure.
Kinematic intensities with the Lorentz-polarization factor, no thermal factor.

Cell and atoms:
Cell: 5.6907 9.7437 11.8621 Å, 90.00 101.82 90.00°
Space group C2/m (No. 12)
Asymmetric unit:
1 Tl 0.0801 0.0000 0.1388 x4
2 Ag 0.0000 0.2459 0.5000 x4
3 Sn 0.0000 0.3312 0.0000 x4
4 Sn 0.1486 0.3389 0.2787 x8
5 Sn 0.2236 0.0000 0.4177 x4

Top 8 peaks for 2θ from 10° to 80°, by angle:
31.46°, intensity 32, (2 0 -1); 31.90°, intensity 39, (1 3 0); 32.06°, intensity 100, (1 3 -1); 33.05°, intensity 42, (1 1 -4); 36.02°, intensity 35, (0 2 4); 43.01°, intensity 17, (2 2 2); 43.92°, intensity 14, (0 4 3); 66.27°, intensity 21, (2 6 -1)

5.
TlAgSn: calculated powder diffraction line list (Cu Kα), based on a PBE-relaxed structure.
Kinematic intensities with the Lorentz-polarization factor, no thermal factor.

Cell and atoms:
Cell: 5.9434 9.4479 6.1053 Å, 90.00 117.78 90.00°
Space group C2/m (No. 12)
Asymmetric unit:
1 Tl 0.0000 0.1654 0.0000 x4
2 Ag 0.0000 0.2491 0.5000 x4
3 Sn 0.1516 0.5000 0.3042 x4

Top 8 peaks for 2θ from 10° to 80°, by angle:
30.24°, intensity 62, (1 1 1); 30.82°, intensity 59, (1 1 -2); 33.16°, intensity 100, (1 3 0); 33.34°, intensity 72, (1 3 -1); 38.39°, intensity 64, (0 2 2); 39.21°, intensity 40, (2 2 0); 39.84°, intensity 39, (2 2 -2); 41.74°, intensity 36, (0 4 1)

6.
TlAgSn: calculated powder diffraction line list (Cu Kα), based on a PBE-relaxed structure.
Kinematic intensities with the Lorentz-polarization factor, no thermal factor.

Cell and atoms:
Cell: 4.5194 5.5146 7.2428 Å, 77.91 72.13 65.82°
Space group P-1 (No. 2)
Asymmetric unit:
1 Tl 0.0910 0.1843 0.1331 x2
2 Ag 0.3582 0.5890 0.1903 x2
3 Sn 0.3245 0.2803 0.5711 x2

Top 8 peaks for 2θ from 10° to 80°, by angle:
28.51°, intensity 54, (1 0 -1); 28.65°, intensity 52, (1 1 2); 29.68°, intensity 48, (1 1 -1); 29.83°, intensity 48, (1 0 2); 33.51°, intensity 100, (1 2 1); 34.53°, intensity 46, (1 2 0); 39.44°, intensity 53, (0 0 3); 39.90°, intensity 66, (2 1 1)

7.
TmAgSn2: calculated powder diffraction line list (Cu Kα), based on a PBE-relaxed structure.
Kinematic intensities with the Lorentz-polarization factor, no thermal factor.

Cell and atoms:
Cell: 4.6378 4.6378 4.3532 Å, 90.00 90.00 90.00°
Space group P4/mmm (No. 123)
Asymmetric unit:
1 Tm 0.0000 0.0000 0.0000 x1
2 Ag 0.5000 0.5000 0.0000 x1
3 Sn 0.0000 0.5000 0.5000 x2

Top 8 peaks for 2θ from 10° to 80°, by angle:
34.23°, intensity 100, (1 1 1); 38.83°, intensity 35, (2 0 0); 41.49°, intensity 15, (0 0 2); 56.09°, intensity 12, (2 2 0); 58.13°, intensity 22, (2 0 2); 67.38°, intensity 28, (3 1 1); 71.04°, intensity 12, (1 1 3); 72.12°, intensity 12, (2 2 2)

8.
Tm7Ag4Sn: calculated powder diffraction line list (Cu Kα), based on a PBE-relaxed structure.
Kinematic intensities with the Lorentz-polarization factor, no thermal factor.

Cell and atoms:
Cell: 14.4171 5.6224 8.8058 Å, 90.00 118.55 90.00°
Space group C2/m (No. 12)
Asymmetric unit:
1 Tm 0.0000 0.0000 0.0000 x2
2 Tm 0.0781 0.5000 0.4023 x4
3 Tm 0.1739 0.5000 0.8792 x4
4 Tm 0.2138 0.0000 0.6711 x4
5 Ag 0.0199 0.0000 0.6803 x4
6 Ag 0.1961 0.0000 0.3260 x4
7 Sn 0.0000 0.5000 0.0000 x2

Top 8 peaks for 2θ from 10° to 80°, by angle:
31.53°, intensity 49, (1 1 2); 31.83°, intensity 100, (0 2 0); 32.38°, intensity 28, (2 0 2); 32.69°, intensity 77, (4 0 -3); 34.79°, intensity 49, (0 0 3); 35.39°, intensity 74, (5 1 -1); 39.00°, intensity 25, (5 1 0); 46.26°, intensity 45, (4 2 -3)

9.
TmAg2Sn2: calculated powder diffraction line list (Cu Kα), based on a PBE-relaxed structure.
Kinematic intensities with the Lorentz-polarization factor, no thermal factor.

Cell and atoms:
Cell: 4.3908 23.2365 4.3941 Å, 90.00 90.00 90.00°
Space group Cmcm (No. 63)
Asymmetric unit:
1 Tm 0.0000 0.1438 0.2500 x4
2 Ag 0.0000 0.0414 0.7500 x4
3 Ag 0.0000 0.4583 0.7500 x4
4 Sn 0.0000 0.2496 0.7500 x4
5 Sn 0.0000 0.3761 0.2500 x4

Top 8 peaks for 2θ from 10° to 80°, by angle:
34.74°, intensity 100, (1 5 1); 38.75°, intensity 12, (0 10 0); 39.74°, intensity 6, (1 7 1); 41.10°, intensity 37, (2 0 0); 57.76°, intensity 14, (2 10 0); 59.53°, intensity 13, (2 0 2); 70.80°, intensity 25, (3 5 1); 73.32°, intensity 8, (2 10 2)

10.
AgSnW2: calculated powder diffraction line list (Cu Kα), based on a PBE-relaxed structure.
Kinematic intensities with the Lorentz-polarization factor, no thermal factor.

Cell and atoms:
Cell: 5.6212 10.5641 5.0656 Å, 90.00 108.36 90.00°
Space group C2/c (No. 15)
Asymmetric unit:
1 Ag 0.0000 0.2022 0.2500 x4
2 Sn 0.0000 0.3093 0.7500 x4
3 W 0.2351 0.0485 0.7456 x8

Top 8 peaks for 2θ from 10° to 80°, by angle:
37.13°, intensity 44, (2 2 -1); 37.41°, intensity 62, (0 0 2); 37.78°, intensity 76, (2 2 0); 38.91°, intensity 100, (0 4 1); 45.46°, intensity 46, (2 2 -2); 47.11°, intensity 22, (2 2 1); 62.84°, intensity 23, (2 6 -1); 68.48°, intensity 19, (0 4 3)

11.
YAgSn: calculated powder diffraction line list (Cu Kα), based on a PBE-relaxed structure.
Kinematic intensities with the Lorentz-polarization factor, no thermal factor.

Cell and atoms:
Cell: 4.7802 7.1815 8.3003 Å, 90.00 90.00 90.00°
Space group Imm2 (No. 44)
Asymmetric unit:
1 Y 0.0000 0.0000 0.0000 x2
2 Y 0.0000 0.5000 0.0233 x2
3 Ag 0.0000 0.2813 0.6792 x4
4 Sn 0.0000 0.2440 0.3464 x4

Top 8 peaks for 2θ from 10° to 80°, by angle:
24.80°, intensity 15, (0 2 0); 33.00°, intensity 100, (1 2 1); 37.59°, intensity 89, (2 0 0); 45.55°, intensity 18, (1 2 3); 50.87°, intensity 38, (0 4 0); 64.92°, intensity 46, (2 4 0); 65.01°, intensity 9, (3 2 1); 67.88°, intensity 10, (3 0 3)

12.
YAgSn: calculated powder diffraction line list (Cu Kα), based on a PBE-relaxed structure.
Kinematic intensities with the Lorentz-polarization factor, no thermal factor.

Cell and atoms:
Cell: 4.7347 4.7347 23.3135 Å, 90.00 90.00 120.00°
Space group R3m (No. 160, hexagonal axes)
Asymmetric unit:
1 Y 0.0000 0.0000 0.0000 x3
2 Y 0.0000 0.0000 0.1626 x3
3 Ag 0.0000 0.0000 0.2876 x3
4 Ag 0.0000 0.0000 0.7558 x3
5 Sn 0.0000 0.0000 0.4125 x3
6 Sn 0.0000 0.0000 0.5780 x3

Top 8 peaks for 2θ from 10° to 80°, by angle:
29.00°, intensity 46, (0 1 5); 34.70°, intensity 68, (1 0 7); 37.88°, intensity 16, (0 1 8); 38.01°, intensity 100, (1 1 0); 52.40°, intensity 24, (0 2 7); 61.77°, intensity 19, (1 1 12); 66.55°, intensity 19, (2 1 7); 68.65°, intensity 22, (3 0 0)

13.
Zn12Ag6Sn: calculated powder diffraction line list (Cu Kα), based on a PBE-relaxed structure.
Kinematic intensities with the Lorentz-polarization factor, no thermal factor.

Cell and atoms:
Cell: 9.7827 9.7827 11.9075 Å, 90.00 90.00 120.00°
Space group R-3 (No. 148, hexagonal axes)
Asymmetric unit:
1 Zn 0.0364 0.6022 0.0819 x18
2 Zn 0.0669 0.4782 0.7159 x18
3 Ag 0.0430 0.1883 0.7886 x18
4 Sn 0.0000 0.0000 0.5000 x3

Top 8 peaks for 2θ from 10° to 80°, by angle:
28.92°, intensity 27, (3 -1 1); 39.09°, intensity 100, (4 -3 1); 41.31°, intensity 24, (3 1 2); 41.41°, intensity 44, (2 1 4); 43.46°, intensity 18, (4 -2 3); 43.60°, intensity 11, (2 0 5); 49.31°, intensity 18, (2 3 2); 69.27°, intensity 13, (2 5 0)

14.
Zn2Ag5Sn: calculated powder diffraction line list (Cu Kα), based on a PBE-relaxed structure.
Kinematic intensities with the Lorentz-polarization factor, no thermal factor.

Cell and atoms:
Cell: 6.8313 6.8313 6.1892 Å, 90.00 90.00 90.00°
Space group I4/mmm (No. 139)
Asymmetric unit:
1 Zn 0.0000 0.5000 0.0000 x4
2 Ag 0.0000 0.0000 0.0000 x2
3 Ag 0.2500 0.2500 0.2500 x8
4 Sn 0.0000 0.0000 0.5000 x2

Top 8 peaks for 2θ from 10° to 80°, by angle:
18.37°, intensity 4, (1 1 0); 37.23°, intensity 58, (2 2 0); 39.29°, intensity 100, (2 0 2); 53.67°, intensity 20, (4 0 0); 59.77°, intensity 7, (0 0 4); 68.50°, intensity 36, (4 2 2); 72.56°, intensity 15, (2 2 4); 79.34°, intensity 6, (4 4 0)